[1]
This entry pairs a crystal structure of SnP2Cl10O2 with its computed powder diffractogram. Radiation: Cu Kα (λ = 1.5418 Å). Structure: a structure optimized by DFT (GGA-PBE).
Neutral-atom scattering factors, no anomalous dispersion.

The 10 most intense peaks (2θ from 10° to 90°), low angle first:
two_theta, I/Imax
12.98, 14.8
13.55, 100.0
16.95, 16.7
21.12, 32.9
21.60, 10.1
23.67, 25.5
26.31, 15.4
28.50, 10.3
33.73, 11.7
44.04, 10.7

```
data_SnP2Cl10O2
_cell_length_a 15.1153
_cell_length_b 15.2854
_cell_length_c 8.2276
_cell_angle_alpha 90.00
_cell_angle_beta 90.00
_cell_angle_gamma 90.00
_symmetry_space_group_name_H-M 'P n n m'
_symmetry_Int_Tables_number 58
_symmetry_space_group_name_Hall '-P 2 2n'
loop_
_atom_site_label
_atom_site_type_symbol
_atom_site_fract_x
_atom_site_fract_y
_atom_site_fract_z
_atom_site_occupancy
Sn1 Sn 0.2404 0.1671 0.0000 1
P1 P 0.0789 0.3478 0.0000 1
P2 P 0.1156 0.8658 0.5000 1
Cl1 Cl 0.0374 0.8502 0.3077 1
Cl2 Cl 0.0526 0.6532 0.0000 1
Cl3 Cl 0.1142 0.4184 0.1927 1
Cl4 Cl 0.1161 0.6007 0.5000 1
Cl5 Cl 0.1425 0.0449 0.0000 1
Cl6 Cl 0.1501 0.9912 0.5000 1
Cl7 Cl 0.2344 0.1938 0.2849 1
O1 O 0.1142 0.2570 0.0000 1
O2 O 0.1949 0.8082 0.5000 1
```

[2]
This entry pairs a crystal structure of TiP2Cl8O3 with its computed powder diffractogram. Radiation: Cu Kα (λ = 1.5418 Å). Structure: a structure optimized by DFT (GGA-PBE).
Neutral-atom scattering factors, no anomalous dispersion.

The 10 most intense peaks (2θ from 10° to 90°), low angle first:
two_theta, I/Imax
11.21, 94.8
11.97, 43.3
13.62, 91.7
18.33, 45.9
20.94, 44.8
21.10, 54.1
22.95, 100.0
24.04, 36.8
25.49, 63.3
29.21, 54.0

```
data_TiP2Cl8O3
_cell_length_a 9.0993
_cell_length_b 16.2444
_cell_length_c 13.2759
_cell_angle_alpha 90.00
_cell_angle_beta 125.66
_cell_angle_gamma 90.00
_symmetry_space_group_name_H-M 'P 1 21/c 1'
_symmetry_Int_Tables_number 14
_symmetry_space_group_name_Hall '-P 2ybc'
loop_
_atom_site_label
_atom_site_type_symbol
_atom_site_fract_x
_atom_site_fract_y
_atom_site_fract_z
_atom_site_occupancy
Ti1 Ti 0.2160 0.1295 0.1378 1
P1 P 0.0053 0.0672 0.2892 1
P2 P 0.2192 0.5834 0.6147 1
Cl1 Cl 0.0962 0.6700 0.1939 1
Cl2 Cl 0.1268 0.2463 0.6596 1
Cl3 Cl 0.1845 0.0184 0.7689 1
Cl4 Cl 0.2062 0.0346 0.4611 1
Cl5 Cl 0.3155 0.6228 0.7865 1
Cl6 Cl 0.3491 0.1707 0.0499 1
Cl7 Cl 0.3772 0.6397 0.5760 1
Cl8 Cl 0.4640 0.1243 0.3367 1
O1 O 0.0285 0.6150 0.5290 1
O2 O 0.0611 0.0742 0.2045 1
O3 O 0.2503 0.0078 0.1177 1
```

Copy entry 1 word for word.
This entry pairs a crystal structure of SnP2Cl10O2 with its computed powder diffractogram. Radiation: Cu Kα (λ = 1.5418 Å). Structure: a structure optimized by DFT (GGA-PBE).
Neutral-atom scattering factors, no anomalous dispersion.

The 10 most intense peaks (2θ from 10° to 90°), low angle first:
two_theta, I/Imax
12.98, 14.8
13.55, 100.0
16.95, 16.7
21.12, 32.9
21.60, 10.1
23.67, 25.5
26.31, 15.4
28.50, 10.3
33.73, 11.7
44.04, 10.7

```
data_SnP2Cl10O2
_cell_length_a 15.1153
_cell_length_b 15.2854
_cell_length_c 8.2276
_cell_angle_alpha 90.00
_cell_angle_beta 90.00
_cell_angle_gamma 90.00
_symmetry_space_group_name_H-M 'P n n m'
_symmetry_Int_Tables_number 58
_symmetry_space_group_name_Hall '-P 2 2n'
loop_
_atom_site_label
_atom_site_type_symbol
_atom_site_fract_x
_atom_site_fract_y
_atom_site_fract_z
_atom_site_occupancy
Sn1 Sn 0.2404 0.1671 0.0000 1
P1 P 0.0789 0.3478 0.0000 1
P2 P 0.1156 0.8658 0.5000 1
Cl1 Cl 0.0374 0.8502 0.3077 1
Cl2 Cl 0.0526 0.6532 0.0000 1
Cl3 Cl 0.1142 0.4184 0.1927 1
Cl4 Cl 0.1161 0.6007 0.5000 1
Cl5 Cl 0.1425 0.0449 0.0000 1
Cl6 Cl 0.1501 0.9912 0.5000 1
Cl7 Cl 0.2344 0.1938 0.2849 1
O1 O 0.1142 0.2570 0.0000 1
O2 O 0.1949 0.8082 0.5000 1
```